The following is a computed powder diffraction line list of SmTl2InS4. It was derived from a DFT-relaxed cell (GGA-PBE, Alexandria), using Cu Kα X-rays.
Peak positions follow from Bragg's law for the DFT cell and can differ from measured ones.

Top 8 peaks for 2θ = 10–90°, sorted by position:
d = 3.448 Å, 25.84°, I 68; d = 3.406 Å, 26.17°, I 65; d = 2.986 Å, 29.93°, I 51; d = 2.959 Å, 30.21°, I 100; d = 2.102 Å, 43.04°, I 73; d = 1.795 Å, 50.88°, I 38; d = 1.777 Å, 51.43°, I 23; d = 1.333 Å, 70.68°, I 23

abc: 8.407 8.407 8.407
angles: 120.91 119.69 89.49
Fractional positions:
Sm 0.000 0.000 0.000
Sm 0.500 0.000 0.500
Tl 0.000 0.500 0.500
Tl 0.500 0.000 0.000
Tl 0.500 0.500 0.000
Tl 0.500 0.500 0.500
In 0.000 0.000 0.500
In 0.000 0.500 0.000
S 0.200 0.239 0.962
S 0.223 0.761 0.462
S 0.232 0.206 0.474
S 0.232 0.758 0.026
S 0.768 0.242 0.974
S 0.768 0.794 0.526
S 0.777 0.239 0.538
S 0.800 0.761 0.038